The following is a theoretical X-ray diffraction stick pattern of Na2ZnGeP2SO12. It was derived from a DFT-relaxed cell (GGA-PBE, the Materials Project), using Cu Kα X-rays.
Kinematic intensities with the Lorentz-polarization factor, no thermal factor.

```
Na2ZnGeP2SO12
1.0
7.513 -4.361 0.000
7.513 4.361 0.000
-5.099 0.000 7.309
Na Zn Ge P S O
4 2 2 4 2 24
Cartesian
4.963 3.716 3.655 Na
7.367 2.070 1.813 Na
4.818 -2.070 5.467 Na
7.513 -3.716 0.000 Na
7.219 2.170 4.989 Zn
9.769 -2.170 1.335 Zn
2.113 2.278 5.764 Ge
4.662 -2.278 2.109 Ge
-0.002 0.965 3.485 P
-2.552 -0.965 7.139 P
9.708 0.395 3.513 P
7.159 -0.395 7.167 P
4.355 0.820 3.553 S
1.806 -0.820 7.208 S
0.776 1.182 2.211 O
1.021 3.122 7.085 O
0.659 1.641 4.772 O
2.282 0.527 0.018 O
3.786 1.422 2.356 O
-0.268 -0.527 3.672 O
3.516 2.684 7.064 O
-1.774 -1.182 5.865 O
3.502 1.062 4.787 O
1.914 0.676 7.111 O
5.693 1.420 3.695 O
3.208 -1.641 1.117 O
1.237 -1.422 6.010 O
4.463 -0.676 3.457 O
6.051 -1.062 1.133 O
8.539 1.327 3.689 O
7.021 0.481 5.963 O
8.242 -1.420 0.040 O
3.570 -3.122 3.430 O
9.570 -0.481 2.309 O
12.599 0.474 1.187 O
6.065 -2.684 3.409 O
11.088 -1.327 0.035 O
10.050 -0.474 4.841 O
```

Principal peaks in the range 10° ≤ 2θ ≤ 80°, in order of rising 2θ:
2theta, d (Å), Rel. int.
14.21, 6.232, 35.5
19.93, 4.454, 41.4
20.08, 4.421, 58.5
20.42, 4.349, 100.0
23.74, 3.748, 96.1
23.95, 3.716, 44.4
28.65, 3.116, 45.7
31.82, 2.812, 66.2
31.95, 2.801, 56.5
32.18, 2.782, 54.9
35.71, 2.514, 57.7
48.58, 1.874, 38.9